Simulated powder diffractogram
Compound: CeTmS3
Radiation: CuKα
Structure: the GGA-PBE geometry in the Materials Project
Peak positions follow from Bragg's law for the DFT cell and can differ from measured ones.

Largest 10 diffraction maxima, by angle, 2θ = 10–90°:
24.13°, 3.688 Å, I 233, (1 1 0); 24.63°, 3.615 Å, I 698, (3 0 -2); 25.09°, 3.550 Å, I 833, (1 0 -6); 26.01°, 3.426 Å, I 1000, (2 0 4); 28.99°, 3.080 Å, I 338, (2 1 1); 33.35°, 2.687 Å, I 259, (2 1 -5); 34.30°, 2.614 Å, I 257, (0 1 6); 37.39°, 2.405 Å, I 422, (3 1 -5); 43.07°, 2.100 Å, I 300, (4 0 -8); 46.23°, 1.964 Å, I 358, (0 2 0)

Structural model:
Cell: 10.9544 3.9273 21.4593 Å, 90.00 101.57 90.00°
Fractional positions:
Ce  0.0921  0.2500  0.3634
Ce  0.2005  0.2500  0.0379
Ce  0.3043  0.7500  0.7337
Ce  0.3067  0.2500  0.2323
Ce  0.6933  0.7500  0.7677
Ce  0.6957  0.2500  0.2663
Ce  0.7995  0.7500  0.9621
Ce  0.9079  0.7500  0.6366
Tm  0.0299  0.2500  0.8522
Tm  0.1779  0.2500  0.5464
Tm  0.4462  0.2500  0.9178
Tm  0.4776  0.7500  0.4118
Tm  0.5224  0.2500  0.5882
Tm  0.5538  0.7500  0.0822
Tm  0.8221  0.7500  0.4536
Tm  0.9701  0.7500  0.1478
S  0.0382  0.2500  0.2295
S  0.0579  0.7500  0.9444
S  0.0857  0.7500  0.4623
S  0.1248  0.2500  0.6643
S  0.2064  0.7500  0.1352
S  0.2520  0.7500  0.3252
S  0.2544  0.2500  0.8230
S  0.3425  0.7500  0.5996
S  0.3545  0.7500  0.9856
S  0.3629  0.2500  0.4642
S  0.4523  0.2500  0.1342
S  0.4943  0.2500  0.7219
S  0.5057  0.7500  0.2781
S  0.5477  0.7500  0.8658
S  0.6371  0.7500  0.5358
S  0.6455  0.2500  0.0144
S  0.6575  0.2500  0.4004
S  0.7456  0.7500  0.1770
S  0.7480  0.2500  0.6748
S  0.7936  0.2500  0.8648
S  0.8752  0.7500  0.3357
S  0.9143  0.2500  0.5377
S  0.9421  0.2500  0.0556
S  0.9618  0.7500  0.7705